Entry 1:
Starting from a DFT-relaxed cell (GGA+U, the Materials Project), the powder X-ray diffraction pattern of SnMo4O6 was calculated for copper Kα.
Kinematic intensities with the Lorentz-polarization factor, no thermal factor.

Main lines, in order of falling intensity (10 to 90 degrees two-theta):
d (Å)  I/Imax
3.095  100
2.593  74
2.075  44
2.690  39
1.649  24
1.583  20
1.428  19
1.730  19

Crystal structure
abc: 9.7858 9.7858 3.2198
angles: 90.00 90.00 90.00
Fractional coordinates of all 22 atoms:
Sn 0.0000 0.0000 0.0000
Sn 0.5000 0.5000 0.0000
Mo 0.1117 0.3883 0.0000
Mo 0.1494 0.6494 0.5000
Mo 0.3506 0.1494 0.5000
Mo 0.3883 0.8883 0.0000
Mo 0.6117 0.1117 0.0000
Mo 0.6494 0.8506 0.5000
Mo 0.8506 0.3506 0.5000
Mo 0.8883 0.6117 0.0000
O 0.0491 0.7601 0.0000
O 0.2042 0.2958 0.5000
O 0.2399 0.0491 0.0000
O 0.2601 0.5491 0.0000
O 0.2958 0.7958 0.5000
O 0.4509 0.2601 0.0000
O 0.5491 0.7399 0.0000
O 0.7042 0.2042 0.5000
O 0.7399 0.4509 0.0000
O 0.7601 0.9509 0.0000
O 0.7958 0.7042 0.5000
O 0.9509 0.2399 0.0000

Entry 2:
Starting from a DFT-relaxed cell (GGA+U, the Materials Project), the powder X-ray diffraction pattern of Na3VMo3O21 was calculated for copper Kα.
Kinematic intensities with the Lorentz-polarization factor, no thermal factor.

Main lines, in order of falling intensity (10 to 90 degrees two-theta):
d (Å)  I/Imax
7.051  100
3.625  70
3.161  64
2.690  64
7.243  60
4.335  56
4.744  54
3.463  54

Crystal structure
abc: 9.2980 10.3391 10.4405
angles: 113.53 93.33 98.81
Fractional coordinates of all 56 atoms:
Na 0.0165 0.1680 0.4862
Na 0.1026 0.1615 0.8735
Na 0.3598 0.5252 0.8048
Na 0.6402 0.4748 0.1952
Na 0.8974 0.8385 0.1265
Na 0.9835 0.8320 0.5138
V 0.3215 0.0342 0.5503
V 0.6785 0.9658 0.4497
Mo 0.3501 0.8293 0.1622
Mo 0.3630 0.6468 0.3672
Mo 0.4707 0.1849 0.2982
Mo 0.5293 0.8151 0.7018
Mo 0.6370 0.3532 0.6328
Mo 0.6499 0.1707 0.8378
O 0.0314 0.5050 0.7837
O 0.0389 0.0795 0.1506
O 0.0550 0.3825 0.7524
O 0.0575 0.2085 0.1737
O 0.1286 0.7598 0.7370
O 0.1488 0.0575 0.5989
O 0.1692 0.8871 0.7591
O 0.1864 0.8423 0.0796
O 0.2200 0.5613 0.4223
O 0.2463 0.3544 0.5609
O 0.2537 0.7264 0.2630
O 0.3183 0.3052 0.8485
O 0.3248 0.2060 0.2044
O 0.3289 0.0288 0.3798
O 0.3521 0.8690 0.5439
O 0.3812 0.7105 0.7321
O 0.4118 0.5088 0.2260
O 0.4161 0.6929 0.0319
O 0.4581 0.1762 0.6766
O 0.4657 0.3187 0.4941
O 0.4906 0.9928 0.1755
O 0.5094 0.0072 0.8245
O 0.5343 0.6813 0.5059
O 0.5419 0.8238 0.3234
O 0.5839 0.3071 0.9681
O 0.5882 0.4912 0.7740
O 0.6188 0.2895 0.2679
O 0.6479 0.1310 0.4561
O 0.6711 0.9712 0.6202
O 0.6752 0.7940 0.7956
O 0.6817 0.6948 0.1515
O 0.7462 0.2736 0.7370
O 0.7537 0.6456 0.4391
O 0.7800 0.4387 0.5777
O 0.8136 0.1577 0.9204
O 0.8308 0.1129 0.2409
O 0.8512 0.9425 0.4011
O 0.8714 0.2402 0.2630
O 0.9425 0.7915 0.8262
O 0.9450 0.6175 0.2476
O 0.9611 0.9205 0.8494
O 0.9686 0.4950 0.2163

Entry 3:
Starting from a DFT-relaxed cell (GGA+U, the Materials Project), the powder X-ray diffraction pattern of RbNa2NiF6 was calculated for copper Kα.
Kinematic intensities with the Lorentz-polarization factor, no thermal factor.

Main lines, in order of falling intensity (10 to 90 degrees two-theta):
d (Å)  I/Imax
3.135  100
4.433  93
2.217  59
1.810  34
1.567  31
1.983  31
1.402  22
1.185  21

Crystal structure
abc: 6.2696 6.2696 6.2696
angles: 60.00 60.00 60.00
Fractional coordinates of all 10 atoms:
Rb 0.0000 0.0000 0.0000
Na 0.2500 0.2500 0.2500
Na 0.7500 0.7500 0.7500
Ni 0.5000 0.5000 0.5000
F 0.2872 0.2872 0.7128
F 0.2872 0.7128 0.2872
F 0.2872 0.7128 0.7128
F 0.7128 0.2872 0.2872
F 0.7128 0.2872 0.7128
F 0.7128 0.7128 0.2872

Entry 4:
Starting from a DFT-relaxed cell (GGA+U, the Materials Project), the powder X-ray diffraction pattern of CoHCO4 was calculated for copper Kα.
Kinematic intensities with the Lorentz-polarization factor, no thermal factor.

Main lines, in order of falling intensity (10 to 90 degrees two-theta):
d (Å)  I/Imax
4.426  100
2.539  34
5.111  29
1.972  21
1.472  19
1.801  17
2.274  17
1.673  15

Crystal structure
abc: 10.2224 10.2224 6.1983
angles: 90.00 90.00 120.00
Fractional coordinates of all 42 atoms:
Co 0.0000 0.5000 0.0000
Co 0.0000 0.5000 0.5000
Co 0.5000 0.0000 0.0000
Co 0.5000 0.0000 0.5000
Co 0.5000 0.5000 0.0000
Co 0.5000 0.5000 0.5000
H 0.1901 0.6397 0.2500
H 0.3603 0.5504 0.2500
H 0.4496 0.8099 0.2500
H 0.5504 0.1901 0.7500
H 0.6397 0.4496 0.7500
H 0.8099 0.3603 0.7500
C 0.2018 0.7637 0.7500
C 0.2363 0.4381 0.7500
C 0.4381 0.2018 0.2500
C 0.5619 0.7982 0.7500
C 0.7637 0.5619 0.2500
C 0.7982 0.2363 0.2500
O 0.1059 0.4290 0.7500
O 0.1218 0.5290 0.2500
O 0.1450 0.7033 0.5649
O 0.1450 0.7033 0.9351
O 0.2967 0.4417 0.5649
O 0.2967 0.4417 0.9351
O 0.3231 0.8941 0.7500
O 0.4072 0.8782 0.2500
O 0.4290 0.3231 0.2500
O 0.4417 0.1450 0.0649
O 0.4417 0.1450 0.4351
O 0.4710 0.5928 0.2500
O 0.5290 0.4072 0.7500
O 0.5583 0.8550 0.5649
O 0.5583 0.8550 0.9351
O 0.5710 0.6769 0.7500
O 0.5928 0.1218 0.7500
O 0.6769 0.1059 0.2500
O 0.7033 0.5583 0.0649
O 0.7033 0.5583 0.4351
O 0.8550 0.2967 0.0649
O 0.8550 0.2967 0.4351
O 0.8782 0.4710 0.7500
O 0.8941 0.5710 0.2500

Entry 5:
Starting from a DFT-relaxed cell (GGA+U, the Materials Project), the powder X-ray diffraction pattern of LiV6O13 was calculated for copper Kα.
Kinematic intensities with the Lorentz-polarization factor, no thermal factor.

Main lines, in order of falling intensity (10 to 90 degrees two-theta):
d (Å)  I/Imax
3.584  100
3.500  61
2.719  39
1.881  38
5.893  33
5.251  32
2.002  30
2.990  28

Crystal structure
abc: 11.3758 11.3758 12.0101
angles: 110.31 110.31 19.04
Fractional coordinates of all 40 atoms:
Li 0.1847 0.1847 0.2598
Li 0.8153 0.8153 0.7402
V 0.0518 0.0518 0.4635
V 0.0727 0.0727 0.7870
V 0.2250 0.2250 0.5745
V 0.2480 0.2480 0.8953
V 0.4293 0.4293 0.0169
V 0.4358 0.4358 0.7260
V 0.5642 0.5642 0.2740
V 0.5707 0.5707 0.9831
V 0.7520 0.7520 0.1047
V 0.7750 0.7750 0.4255
V 0.9273 0.9273 0.2130
V 0.9482 0.9482 0.5365
O 0.0422 0.0422 0.2869
O 0.0443 0.0443 0.6101
O 0.0612 0.0612 0.9434
O 0.1448 0.1448 0.5264
O 0.1531 0.1531 0.8278
O 0.2471 0.2471 0.4271
O 0.2485 0.2485 0.0625
O 0.2509 0.2509 0.7484
O 0.3493 0.3493 0.9521
O 0.3565 0.3565 0.6937
O 0.4469 0.4469 0.5663
O 0.4495 0.4495 0.1959
O 0.4581 0.4581 0.8981
O 0.5419 0.5419 0.1019
O 0.5505 0.5505 0.8041
O 0.5531 0.5531 0.4337
O 0.6435 0.6435 0.3063
O 0.6507 0.6507 0.0479
O 0.7491 0.7491 0.2516
O 0.7515 0.7515 0.9375
O 0.7529 0.7529 0.5729
O 0.8469 0.8469 0.1722
O 0.8552 0.8552 0.4736
O 0.9388 0.9388 0.0566
O 0.9557 0.9557 0.3899
O 0.9578 0.9578 0.7131

Entry 6:
Starting from a DFT-relaxed cell (GGA+U, the Materials Project), the powder X-ray diffraction pattern of LiFe4B4O12 was calculated for copper Kα.
Kinematic intensities with the Lorentz-polarization factor, no thermal factor.

Main lines, in order of falling intensity (10 to 90 degrees two-theta):
d (Å)  I/Imax
4.164  100
2.532  93
4.510  91
3.424  77
2.620  69
4.119  61
3.381  59
4.594  51

Crystal structure
abc: 5.2391 9.1943 10.1272
angles: 89.20 89.66 88.79
Fractional coordinates of all 42 atoms:
Li 0.0000 0.0000 0.0000
Li 0.1470 0.1601 0.7387
Fe 0.1246 0.8286 0.7129
Fe 0.1457 0.4960 0.2148
Fe 0.4841 0.1697 0.4649
Fe 0.4854 0.8316 0.9617
Fe 0.6373 0.9926 0.2224
Fe 0.6476 0.3337 0.7175
Fe 0.9822 0.6660 0.4701
Fe 0.9984 0.3383 0.9704
B 0.1482 0.4938 0.7099
B 0.1510 0.8282 0.2152
B 0.4711 0.8308 0.4662
B 0.4896 0.1556 0.9588
B 0.6398 0.0097 0.7228
B 0.6565 0.3309 0.2181
B 0.9751 0.3329 0.4669
B 0.9828 0.6709 0.9745
O 0.0060 0.3729 0.7528
O 0.0217 0.6188 0.6663
O 0.0550 0.4647 0.4137
O 0.0715 0.6981 0.2700
O 0.1072 0.5454 0.0183
O 0.1250 0.7923 0.9329
O 0.1358 0.2158 0.4791
O 0.2177 0.8247 0.5054
O 0.2286 0.1575 0.9497
O 0.4034 0.8407 0.1705
O 0.4069 0.4830 0.7125
O 0.4888 0.8987 0.7717
O 0.4935 0.4459 0.2138
O 0.5040 0.1347 0.6716
O 0.5587 0.9669 0.4169
O 0.5697 0.1953 0.2682
O 0.6198 0.0314 0.0140
O 0.6345 0.7162 0.4707
O 0.6392 0.2659 0.9098
O 0.7225 0.3227 0.5132
O 0.7240 0.6820 0.9713
O 0.8983 0.0074 0.7270
O 0.9094 0.3373 0.1772
O 0.9871 0.9446 0.1961

Entry 7:
Starting from a DFT-relaxed cell (GGA+U, the Materials Project), the powder X-ray diffraction pattern of Ho2Mn3Sb3O14 was calculated for copper Kα.
Kinematic intensities with the Lorentz-polarization factor, no thermal factor.

Main lines, in order of falling intensity (10 to 90 degrees two-theta):
d (Å)  I/Imax
2.989  100
2.577  59
2.977  50
2.947  49
1.829  32
1.815  31
1.558  21
1.544  20

Crystal structure
abc: 7.2615 7.2615 7.2374
angles: 119.38 119.38 60.70
Fractional coordinates of all 22 atoms:
Ho 0.0000 0.0000 0.0000
Ho 0.0000 0.0000 0.5000
Mn 0.0000 0.5000 0.5000
Mn 0.5000 0.0000 0.5000
Mn 0.5000 0.5000 0.0000
Sb 0.0000 0.5000 0.0000
Sb 0.5000 0.0000 0.0000
Sb 0.5000 0.5000 0.5000
O 0.1292 0.1292 0.3808
O 0.1572 0.5926 0.9227
O 0.1681 0.1681 0.9081
O 0.1704 0.5866 0.3322
O 0.4074 0.8428 0.0773
O 0.4134 0.8296 0.6678
O 0.4247 0.4247 0.6780
O 0.5753 0.5753 0.3220
O 0.5866 0.1704 0.3322
O 0.5926 0.1572 0.9227
O 0.8296 0.4134 0.6678
O 0.8319 0.8319 0.0919
O 0.8428 0.4074 0.0773
O 0.8708 0.8708 0.6192